Rb2Ni2O3: simulated XRD peak list (copper Kα), based on DFT lattice parameters and positions (PBE+U).

Peak list (10 most intense, 5 to 70 degrees two-theta, in order of falling intensity)
- 2θ = 28.88°, I 100, hkl 0 2 0
- 2θ = 29.21°, I 90, hkl 3 1 1
- 2θ = 30.80°, I 88, hkl 2 1 2
- 2θ = 27.79°, I 55, hkl 1 1 2
- 2θ = 36.99°, I 38, hkl 0 1 3
- 2θ = 64.13°, I 37, hkl 7 2 1
- 2θ = 32.08°, I 34, hkl 3 0 2
- 2θ = 43.71°, I 33, hkl 3 2 2
- 2θ = 54.23°, I 28, hkl 5 1 3
- 2θ = 34.79°, I 26, hkl 1 0 3

```
data_Rb2Ni2O3
_chemical_formula_sum 'Rb8 Ni8 O12'
_cell_length_a 11.777
_cell_length_b 6.182
_cell_length_c 7.928
_cell_angle_alpha 90.00
_cell_angle_beta 90.00
_cell_angle_gamma 90.00
_symmetry_space_group_name_H-M 'P n m a'
_symmetry_Int_Tables_number 62
_symmetry_space_group_name_Hall '-P 2ac 2n'
loop_
_atom_site_label
_atom_site_fract_x
_atom_site_fract_y
_atom_site_fract_z
_atom_site_occupancy
Rb1 0.060 0.250 0.134 1
Rb2 0.131 0.750 0.499 1
Ni1 0.137 0.250 0.722 1
Ni2 0.227 0.750 0.917 1
O1 0.121 0.250 0.487 1
O2 0.151 0.501 0.848 1
```